Entry 1:
Starting from a structure optimized by DFT (GGA-PBE), the powder diffractogram of Hf2N2O was computed for Cu Kα (weighted mean of Kα1 and Kα2).
Intensities are scaled so that the largest is 100.

Cell: 8.7290 8.7303 8.7337 Å, 109.39 109.59 109.40°
Space group P1 (No. 1)
Unique sites:
Hf1 0.0000 0.0000 0.0000 (multiplicity 1)
Hf2 0.9999 0.4942 0.4998 (multiplicity 1)
Hf3 0.0352 0.2885 0.8225 (multiplicity 1)
Hf4 0.2205 0.2515 0.5479 (multiplicity 1)
Hf5 0.2444 0.0441 0.7894 (multiplicity 1)
Hf6 0.2505 0.5463 0.2981 (multiplicity 1)
Hf7 0.2875 0.8215 0.0460 (multiplicity 1)
Hf8 0.4680 0.7778 0.7445 (multiplicity 1)
Hf9 0.4994 0.5726 0.0789 (multiplicity 1)
Hf10 0.4995 0.0719 0.5732 (multiplicity 1)
Hf11 0.5289 0.2723 0.3181 (multiplicity 1)
Hf12 0.7188 0.7590 0.5468 (multiplicity 1)
Hf13 0.7372 0.5234 0.7882 (multiplicity 1)
Hf14 0.7526 0.0440 0.3028 (multiplicity 1)
Hf15 0.7850 0.3294 0.0440 (multiplicity 1)
Hf16 0.9606 0.7834 0.2608 (multiplicity 1)
N1 0.0223 0.5784 0.2980 (multiplicity 1)
N2 0.2145 0.9891 0.5187 (multiplicity 1)
N3 0.2386 0.5711 0.0544 (multiplicity 1)
N4 0.2613 0.5028 0.5300 (multiplicity 1)
N5 0.2819 0.0793 0.0631 (multiplicity 1)
N6 0.3007 0.3093 0.8282 (multiplicity 1)
N7 0.4796 0.3112 0.5501 (multiplicity 1)
N8 0.4894 0.8071 0.5177 (multiplicity 1)
N9 0.5109 0.0192 0.3228 (multiplicity 1)
N10 0.7029 0.5243 0.0159 (multiplicity 1)
N11 0.7170 0.7734 0.8065 (multiplicity 1)
N12 0.7376 0.2610 0.2438 (multiplicity 1)
N13 0.7600 0.8077 0.3347 (multiplicity 1)
N14 0.7836 0.2956 0.7834 (multiplicity 1)
N15 0.9775 0.0030 0.7472 (multiplicity 1)
N16 0.9767 0.2717 0.5614 (multiplicity 1)
O1 0.0141 0.2600 0.0690 (multiplicity 1)
O2 0.0248 0.7667 0.0315 (multiplicity 1)
O3 0.2048 0.7611 0.7594 (multiplicity 1)
O4 0.4799 0.4891 0.2799 (multiplicity 1)
O5 0.5180 0.7962 0.0150 (multiplicity 1)
O6 0.5205 0.0646 0.8374 (multiplicity 1)
O7 0.8012 0.5526 0.5654 (multiplicity 1)
O8 0.9864 0.0447 0.2515 (multiplicity 1)

Main lines, by angle (2θ from 10° to 90°):
| 2θ (°) | I (rel.) |
| --- | --- |
| 21.59 | 12 |
| 30.72 | 100 |
| 35.62 | 37 |
| 37.85 | 7 |
| 45.89 | 10 |
| 51.25 | 33 |
| 60.91 | 18 |
| 61.02 | 10 |
| 62.44 | 4 |
| 63.97 | 6 |

---

Entry 2:
Starting from a structure optimized by DFT (GGA-PBE), the powder diffractogram of Hf2N2O was computed for Cu Kα (weighted mean of Kα1 and Kα2).
Intensities are scaled so that the largest is 100.

Cell: 8.7198 8.7305 8.7383 Å, 109.37 109.49 109.41°
Space group P1 (No. 1)
Unique sites:
Hf1 0.0000 0.0000 0.0000 (multiplicity 1)
Hf2 0.0035 0.4782 0.4835 (multiplicity 1)
Hf3 0.0350 0.2458 0.7763 (multiplicity 1)
Hf4 0.2148 0.4519 0.2399 (multiplicity 1)
Hf5 0.2453 0.6931 0.9534 (multiplicity 1)
Hf6 0.2512 0.2060 0.4531 (multiplicity 1)
Hf7 0.2950 0.0308 0.7475 (multiplicity 1)
Hf8 0.4733 0.7375 0.6997 (multiplicity 1)
Hf9 0.4885 0.4694 0.9814 (multiplicity 1)
Hf10 0.5112 0.9913 0.5026 (multiplicity 1)
Hf11 0.5341 0.2378 0.2781 (multiplicity 1)
Hf12 0.7255 0.9626 0.2471 (multiplicity 1)
Hf13 0.7450 0.7741 0.5284 (multiplicity 1)
Hf14 0.7534 0.2757 0.0290 (multiplicity 1)
Hf15 0.7767 0.5146 0.7390 (multiplicity 1)
Hf16 0.9575 0.7287 0.1990 (multiplicity 1)
N1 0.0136 0.5391 0.2698 (multiplicity 1)
N2 0.2410 0.4555 0.5081 (multiplicity 1)
N3 0.2610 0.2547 0.7183 (multiplicity 1)
N4 0.2719 0.2239 0.2155 (multiplicity 1)
N5 0.2777 0.5063 0.0385 (multiplicity 1)
N6 0.4696 0.7160 0.4453 (multiplicity 1)
N7 0.4874 0.2482 0.0247 (multiplicity 1)
N8 0.5363 0.2583 0.5336 (multiplicity 1)
N9 0.5423 0.0200 0.7601 (multiplicity 1)
N10 0.7298 0.4840 0.9492 (multiplicity 1)
N11 0.7313 0.7476 0.7639 (multiplicity 1)
N12 0.7738 0.2162 0.2579 (multiplicity 1)
N13 0.7751 0.0301 0.5220 (multiplicity 1)
N14 0.9533 0.2120 0.9755 (multiplicity 1)
N15 0.9646 0.9924 0.2278 (multiplicity 1)
N16 0.9886 0.4496 0.7208 (multiplicity 1)
O1 0.0378 0.9683 0.7530 (multiplicity 1)
O2 0.0584 0.7658 0.0134 (multiplicity 1)
O3 0.2292 0.7635 0.7339 (multiplicity 1)
O4 0.2289 0.9405 0.4547 (multiplicity 1)
O5 0.4500 0.9513 0.2135 (multiplicity 1)
O6 0.5126 0.7344 0.9622 (multiplicity 1)
O7 0.7383 0.7109 0.2647 (multiplicity 1)
O8 0.7583 0.5233 0.4713 (multiplicity 1)

Main lines, by angle (2θ from 10° to 90°):
| 2θ (°) | I (rel.) |
| --- | --- |
| 21.58 | 15 |
| 30.69 | 100 |
| 30.76 | 34 |
| 35.61 | 50 |
| 37.82 | 7 |
| 45.92 | 7 |
| 51.15 | 14 |
| 51.28 | 31 |
| 60.93 | 22 |
| 61.02 | 10 |

---

Entry 3:
Starting from a structure optimized by DFT (GGA-PBE), the powder diffractogram of Hf2N2O was computed for Cu Kα (weighted mean of Kα1 and Kα2).
Intensities are scaled so that the largest is 100.

Cell: 8.1213 3.2764 13.7568 Å, 90.00 99.51 90.00°
Space group Pm (No. 6)
Unique sites:
Hf1 0.0000 0.0000 0.0000 (multiplicity 1)
Hf2 0.0043 0.0000 0.2886 (multiplicity 1)
Hf3 0.0325 0.0000 0.5698 (multiplicity 1)
Hf4 0.2975 0.5000 0.4380 (multiplicity 1)
Hf5 0.3475 0.5000 0.7243 (multiplicity 1)
Hf6 0.3623 0.0000 0.2253 (multiplicity 1)
Hf7 0.3722 0.5000 0.0249 (multiplicity 1)
Hf8 0.6305 0.0000 0.8876 (multiplicity 1)
Hf9 0.6783 0.0000 0.6171 (multiplicity 1)
Hf10 0.6823 0.5000 0.3917 (multiplicity 1)
Hf11 0.7329 0.5000 0.1283 (multiplicity 1)
Hf12 0.9880 0.5000 0.7845 (multiplicity 1)
N1 0.1440 0.0000 0.4396 (multiplicity 1)
N2 0.1598 0.0000 0.7415 (multiplicity 1)
N3 0.2026 0.5000 0.2803 (multiplicity 1)
N4 0.2426 0.0000 0.0790 (multiplicity 1)
N5 0.5118 0.5000 0.1979 (multiplicity 1)
N6 0.5143 0.0000 0.7231 (multiplicity 1)
N7 0.5644 0.0000 0.0342 (multiplicity 1)
N8 0.7952 0.0000 0.4727 (multiplicity 1)
N9 0.8412 0.5000 0.2914 (multiplicity 1)
N10 0.8532 0.0000 0.8272 (multiplicity 1)
N11 0.8686 0.5000 0.6364 (multiplicity 1)
N12 0.9076 0.0000 0.1337 (multiplicity 1)
O1 0.1176 0.5000 0.9368 (multiplicity 1)
O2 0.2034 0.5000 0.5840 (multiplicity 1)
O3 0.4582 0.5000 0.8773 (multiplicity 1)
O4 0.4762 0.0000 0.3804 (multiplicity 1)
O5 0.5368 0.5000 0.5421 (multiplicity 1)
O6 0.7999 0.5000 0.9741 (multiplicity 1)

Main lines, by angle (2θ from 10° to 90°):
| 2θ (°) | I (rel.) |
| --- | --- |
| 30.27 | 77 |
| 30.61 | 35 |
| 31.61 | 100 |
| 33.57 | 61 |
| 33.78 | 86 |
| 35.36 | 62 |
| 45.82 | 37 |
| 50.81 | 36 |
| 56.68 | 46 |
| 58.06 | 35 |

---

Entry 4:
Starting from a structure optimized by DFT (GGA-PBE), the powder diffractogram of Hf2N2O was computed for Cu Kα (weighted mean of Kα1 and Kα2).
Intensities are scaled so that the largest is 100.

Cell: 8.7004 8.7326 8.7376 Å, 109.59 109.47 109.22°
Space group P1 (No. 1)
Unique sites:
Hf1 0.0000 0.0000 0.0000 (multiplicity 1)
Hf2 0.0065 0.5044 0.5028 (multiplicity 1)
Hf3 0.0372 0.2863 0.8153 (multiplicity 1)
Hf4 0.2141 0.2421 0.5364 (multiplicity 1)
Hf5 0.2418 0.0336 0.7847 (multiplicity 1)
Hf6 0.2597 0.5454 0.2836 (multiplicity 1)
Hf7 0.2918 0.8218 0.0365 (multiplicity 1)
Hf8 0.4674 0.7864 0.7487 (multiplicity 1)
Hf9 0.4950 0.5607 0.0708 (multiplicity 1)
Hf10 0.5050 0.0662 0.5680 (multiplicity 1)
Hf11 0.5310 0.2758 0.3084 (multiplicity 1)
Hf12 0.7145 0.7517 0.5450 (multiplicity 1)
Hf13 0.7499 0.5312 0.7945 (multiplicity 1)
Hf14 0.7611 0.0527 0.2947 (multiplicity 1)
Hf15 0.7924 0.3339 0.0441 (multiplicity 1)
Hf16 0.9697 0.7910 0.2567 (multiplicity 1)
N1 0.0282 0.5799 0.2991 (multiplicity 1)
N2 0.2108 0.7605 0.7529 (multiplicity 1)
N3 0.2239 0.9923 0.5154 (multiplicity 1)
N4 0.2393 0.5721 0.0495 (multiplicity 1)
N5 0.2810 0.0779 0.0589 (multiplicity 1)
N6 0.3020 0.3083 0.8226 (multiplicity 1)
N7 0.4845 0.4933 0.2782 (multiplicity 1)
N8 0.4890 0.8068 0.5181 (multiplicity 1)
N9 0.5158 0.0243 0.3226 (multiplicity 1)
N10 0.7113 0.5309 0.0169 (multiplicity 1)
N11 0.7163 0.7684 0.7982 (multiplicity 1)
N12 0.7360 0.2603 0.2361 (multiplicity 1)
N13 0.7839 0.2962 0.7767 (multiplicity 1)
N14 0.9760 0.0006 0.7363 (multiplicity 1)
N15 0.9834 0.2770 0.5580 (multiplicity 1)
N16 0.9894 0.0439 0.2496 (multiplicity 1)
O1 0.0167 0.2626 0.0614 (multiplicity 1)
O2 0.0245 0.7596 0.0216 (multiplicity 1)
O3 0.2683 0.4991 0.5258 (multiplicity 1)
O4 0.4827 0.3177 0.5506 (multiplicity 1)
O5 0.5277 0.7978 0.0168 (multiplicity 1)
O6 0.5304 0.0670 0.8378 (multiplicity 1)
O7 0.7658 0.8100 0.3334 (multiplicity 1)
O8 0.8003 0.5450 0.5622 (multiplicity 1)

Main lines, by angle (2θ from 10° to 90°):
| 2θ (°) | I (rel.) |
| --- | --- |
| 21.59 | 13 |
| 30.70 | 100 |
| 30.83 | 33 |
| 35.62 | 33 |
| 35.67 | 17 |
| 51.19 | 23 |
| 51.33 | 14 |
| 51.44 | 8 |
| 60.87 | 12 |
| 60.99 | 16 |

---

Entry 5:
Starting from a structure optimized by DFT (GGA-PBE), the powder diffractogram of Hf2N2O was computed for Cu Kα (weighted mean of Kα1 and Kα2).
Intensities are scaled so that the largest is 100.

Cell: 13.6351 3.2716 8.1939 Å, 90.00 100.10 90.00°
Space group Cm (No. 8)
Unique sites:
Hf1 0.0000 0.0000 0.0000 (multiplicity 2)
Hf2 0.0569 0.0000 0.6594 (multiplicity 2)
Hf3 0.1649 0.5000 0.3332 (multiplicity 2)
Hf4 0.2307 0.5000 0.9466 (multiplicity 2)
Hf5 0.3312 0.0000 0.6134 (multiplicity 2)
Hf6 0.3898 0.0000 0.2650 (multiplicity 2)
N1 0.0256 0.5000 0.1686 (multiplicity 2)
N2 0.0738 0.5000 0.8427 (multiplicity 2)
N3 0.1595 0.0000 0.4848 (multiplicity 2)
N4 0.3208 0.5000 0.4064 (multiplicity 2)
N5 0.3683 0.5000 0.0969 (multiplicity 2)
N6 0.3999 0.5000 0.7544 (multiplicity 2)
O1 0.1981 0.0000 0.1210 (multiplicity 2)
O2 0.2300 0.0000 0.7949 (multiplicity 2)
O3 0.4808 0.0000 0.5141 (multiplicity 2)

Main lines, by angle (2θ from 10° to 90°):
| 2θ (°) | I (rel.) |
| --- | --- |
| 30.62 | 100 |
| 31.55 | 50 |
| 33.32 | 31 |
| 33.94 | 55 |
| 35.22 | 49 |
| 45.59 | 20 |
| 50.91 | 27 |
| 56.24 | 18 |
| 56.87 | 19 |
| 58.63 | 20 |

---

Entry 6:
Starting from a structure optimized by DFT (GGA-PBE), the powder diffractogram of Hf2N2O was computed for Cu Kα (weighted mean of Kα1 and Kα2).
Intensities are scaled so that the largest is 100.

Cell: 5.4088 6.4594 6.9816 Å, 76.72 89.69 89.91°
Space group P1 (No. 1)
Unique sites:
Hf1 0.0000 0.0000 0.0000 (multiplicity 1)
Hf2 0.0104 0.4981 0.0005 (multiplicity 1)
Hf3 0.0590 0.6373 0.4485 (multiplicity 1)
Hf4 0.0758 0.1317 0.4626 (multiplicity 1)
Hf5 0.4962 0.9504 0.1966 (multiplicity 1)
Hf6 0.5128 0.4501 0.1895 (multiplicity 1)
Hf7 0.5739 0.8124 0.7441 (multiplicity 1)
Hf8 0.6093 0.3208 0.7164 (multiplicity 1)
N1 0.2238 0.7111 0.1522 (multiplicity 1)
N2 0.2254 0.2092 0.1609 (multiplicity 1)
N3 0.3426 0.8725 0.4856 (multiplicity 1)
N4 0.7214 0.7382 0.0429 (multiplicity 1)
N5 0.7271 0.2435 0.0276 (multiplicity 1)
N6 0.8257 0.4014 0.3720 (multiplicity 1)
N7 0.8422 0.0602 0.7141 (multiplicity 1)
N8 0.8493 0.5805 0.7134 (multiplicity 1)
O1 0.3268 0.3801 0.4894 (multiplicity 1)
O2 0.3470 0.0473 0.8401 (multiplicity 1)
O3 0.3603 0.5280 0.8514 (multiplicity 1)
O4 0.8531 0.9188 0.3398 (multiplicity 1)

Main lines, by angle (2θ from 10° to 90°):
| 2θ (°) | I (rel.) |
| --- | --- |
| 31.01 | 69 |
| 31.16 | 67 |
| 32.97 | 100 |
| 33.13 | 43 |
| 34.09 | 61 |
| 48.19 | 31 |
| 57.03 | 18 |
| 57.91 | 25 |
| 58.03 | 19 |
| 66.35 | 24 |

---

Entry 7:
Starting from a structure optimized by DFT (GGA-PBE), the powder diffractogram of Hf2N2O was computed for Cu Kα (weighted mean of Kα1 and Kα2).
Intensities are scaled so that the largest is 100.

Cell: 5.4366 5.4759 10.1938 Å, 75.50 75.02 60.60°
Space group P1 (No. 1)
Unique sites:
Hf1 0.0000 0.0000 0.0000 (multiplicity 1)
Hf2 0.0896 0.1345 0.6786 (multiplicity 1)
Hf3 0.2571 0.2491 0.2503 (multiplicity 1)
Hf4 0.3701 0.3500 0.9296 (multiplicity 1)
Hf5 0.4889 0.4927 0.5000 (multiplicity 1)
Hf6 0.5810 0.6227 0.1788 (multiplicity 1)
Hf7 0.7368 0.7623 0.7493 (multiplicity 1)
Hf8 0.8619 0.8688 0.4279 (multiplicity 1)
N1 0.0905 0.5097 0.5857 (multiplicity 1)
N2 0.2539 0.8575 0.3383 (multiplicity 1)
N3 0.2818 0.6065 0.0922 (multiplicity 1)
N4 0.3395 0.0500 0.8412 (multiplicity 1)
N5 0.5536 0.2567 0.3389 (multiplicity 1)
N6 0.5880 0.0105 0.0862 (multiplicity 1)
N7 0.7475 0.3553 0.8344 (multiplicity 1)
N8 0.7914 0.1020 0.5897 (multiplicity 1)
O1 0.0425 0.7452 0.8434 (multiplicity 1)
O2 0.4884 0.8024 0.5920 (multiplicity 1)
O3 0.8504 0.5556 0.3401 (multiplicity 1)
O4 0.9813 0.3109 0.0903 (multiplicity 1)

Main lines, by angle (2θ from 10° to 90°):
| 2θ (°) | I (rel.) |
| --- | --- |
| 30.77 | 100 |
| 30.90 | 96 |
| 31.06 | 90 |
| 32.53 | 92 |
| 32.72 | 92 |
| 32.95 | 91 |
| 45.08 | 38 |
| 45.67 | 35 |
| 46.15 | 33 |
| 56.96 | 38 |

---

Entry 8:
Starting from a structure optimized by DFT (GGA-PBE), the powder diffractogram of Hf2N2O was computed for Cu Kα (weighted mean of Kα1 and Kα2).
Intensities are scaled so that the largest is 100.

Cell: 5.8313 6.7821 5.9189 Å, 90.00 90.27 90.00°
Space group P2_1/c (No. 14)
Unique sites:
Hf1 0.2302 0.1328 0.4074 (multiplicity 4)
Hf2 0.2543 0.6186 0.4222 (multiplicity 4)
N1 0.0037 0.6266 0.7413 (multiplicity 4)
N2 0.3682 0.1327 0.0874 (multiplicity 4)
O1 0.3468 0.6171 0.0806 (multiplicity 4)

Main lines, by angle (2θ from 10° to 90°):
| 2θ (°) | I (rel.) |
| --- | --- |
| 30.38 | 41 |
| 30.66 | 71 |
| 33.90 | 43 |
| 34.08 | 100 |
| 34.16 | 80 |
| 43.76 | 28 |
| 53.75 | 38 |
| 56.73 | 35 |
| 63.04 | 20 |
| 63.27 | 22 |